No. 1
This entry pairs a crystal structure of Sc8ZnFe2 with its theoretical powder diffractogram. Radiation: copper Kα. Structure: a structure optimized by DFT (PBE).
Lines closer than 0.1° are merged.

Structure:
```
Sc8ZnFe2
1.0
3.9562 -7.2040 0.0000
3.9562 7.2040 0.0000
-2.9504 0.0000 3.8290
Sc Zn Fe
8 1 2
direct
0.0000 0.0000 0.0000 Sc
0.2518 0.9251 0.5883 Sc
0.3399 0.5643 0.4521 Sc
0.4086 0.8315 0.1197 Sc
0.5643 0.3399 0.4521 Sc
0.7205 0.7205 0.2212 Sc
0.8315 0.4086 0.1197 Sc
0.9251 0.2518 0.5883 Sc
0.2975 0.2975 0.7977 Zn
0.6481 0.9858 0.8157 Fe
0.9858 0.6481 0.8157 Fe
```

Main lines, in order of rising 2θ (10° ≤ 2θ ≤ 90°):
- 2θ = 34.19°, d 2.622, I 66
- 2θ = 34.68°, d 2.587, I 38
- 2θ = 37.20°, d 2.417, I 67
- 2θ = 39.05°, d 2.306, I 100
- 2θ = 44.54°, d 2.034, I 24
- 2θ = 47.43°, d 1.917, I 30



No. 2
This entry pairs a crystal structure of TlCuSeO4 with its theoretical powder diffractogram. Radiation: copper Kα. Structure: a structure optimized by DFT (PBE).
Lines closer than 0.1° are merged.

Structure:
```
TlCuSeO4
1.0
6.2238 0.0000 0.0000
0.0000 6.2238 0.0000
0.0000 0.0000 6.4449
Tl Cu Se O
2 2 2 8
direct
0.0000 0.0000 0.0000 Tl
0.5000 0.5000 0.5000 Tl
0.0000 0.0000 0.5000 Cu
0.5000 0.5000 0.0000 Cu
0.0000 0.5000 0.2500 Se
0.5000 0.0000 0.7500 Se
0.0990 0.7041 0.3999 O
0.2041 0.4010 0.1001 O
0.2959 0.0990 0.6001 O
0.4010 0.7959 0.8999 O
0.5990 0.2041 0.8999 O
0.7041 0.9010 0.6001 O
0.7959 0.5990 0.1001 O
0.9010 0.2959 0.3999 O
```

Main lines, in order of rising 2θ (10° ≤ 2θ ≤ 90°):
- 2θ = 19.83°, d 4.477, I 79
- 2θ = 20.18°, d 4.401, I 46
- 2θ = 28.69°, d 3.112, I 74
- 2θ = 34.50°, d 2.600, I 100
- 2θ = 35.12°, d 2.555, I 46
- 2θ = 54.64°, d 1.680, I 56



No. 3
This entry pairs a crystal structure of Mg8CdNi2 with its theoretical powder diffractogram. Radiation: copper Kα. Structure: a structure optimized by DFT (PBE).
Lines closer than 0.1° are merged.

Structure:
```
Mg8CdNi2
1.0
4.7040 0.0000 0.0000
-0.2986 6.5286 0.0000
-2.1623 -3.2268 6.9659
Mg Cd Ni
8 1 2
direct
0.0000 0.0000 0.0000 Mg
0.0267 0.4855 0.0709 Mg
0.2248 0.3568 0.4320 Mg
0.3694 0.8800 0.6579 Mg
0.4532 0.5951 0.8948 Mg
0.6195 0.0811 0.2498 Mg
0.6548 0.6601 0.3182 Mg
0.9128 0.1510 0.6608 Mg
0.8446 0.5850 0.6600 Cd
0.1455 0.9177 0.3288 Ni
0.4745 0.2474 0.9850 Ni
```

Main lines, in order of rising 2θ (10° ≤ 2θ ≤ 90°):
- 2θ = 23.45°, d 3.794, I 50
- 2θ = 23.57°, d 3.775, I 51
- 2θ = 23.83°, d 3.734, I 40
- 2θ = 38.13°, d 2.360, I 100
- 2θ = 38.31°, d 2.350, I 63
- 2θ = 39.29°, d 2.293, I 40



No. 4
This entry pairs a crystal structure of ZrFeRu with its theoretical powder diffractogram. Radiation: copper Kα. Structure: a structure optimized by DFT (PBE).
Lines closer than 0.1° are merged.

Structure:
```
ZrFeRu
1.0
3.2409 0.0000 0.0000
0.0000 13.6054 0.0000
0.0000 0.0000 4.3412
Zr Fe Ru
4 4 4
direct
0.0000 0.0910 0.2500 Zr
0.0000 0.9090 0.7500 Zr
0.5000 0.4090 0.7500 Zr
0.5000 0.5910 0.2500 Zr
0.0000 0.2428 0.7500 Fe
0.0000 0.7572 0.2500 Fe
0.5000 0.2572 0.2500 Fe
0.5000 0.7428 0.7500 Fe
0.0000 0.4137 0.2500 Ru
0.0000 0.5863 0.7500 Ru
0.5000 0.0863 0.7500 Ru
0.5000 0.9137 0.2500 Ru
```

Main lines, in order of rising 2θ (10° ≤ 2θ ≤ 90°):
- 2θ = 39.75°, d 2.268, I 24
- 2θ = 40.01°, d 2.254, I 100
- 2θ = 41.61°, d 2.171, I 23
- 2θ = 58.90°, d 1.568, I 15
- 2θ = 72.32°, d 1.306, I 15
- 2θ = 74.85°, d 1.269, I 15



No. 5
This entry pairs a crystal structure of BPIrC2 with its theoretical powder diffractogram. Radiation: copper Kα. Structure: a structure optimized by DFT (PBE).
Lines closer than 0.1° are merged.

Structure:
```
BPIrC2
1.0
8.6597 0.0000 0.0000
0.0000 2.8288 0.0000
-1.2768 0.0000 4.1743
B P Ir C
2 2 2 4
direct
0.0000 0.0000 0.0000 B
0.5000 0.5000 0.0000 B
0.1695 0.5000 0.7087 P
0.6695 0.0000 0.7087 P
0.4120 0.0000 0.3284 Ir
0.9120 0.5000 0.3284 Ir
0.1796 0.0000 0.9748 C
0.3703 0.5000 0.6536 C
0.6796 0.5000 0.9748 C
0.8703 0.0000 0.6536 C
```

Main lines, in order of rising 2θ (10° ≤ 2θ ≤ 90°):
- 2θ = 21.29°, d 4.174, I 83
- 2θ = 21.46°, d 4.140, I 95
- 2θ = 25.49°, d 3.495, I 100
- 2θ = 33.48°, d 2.677, I 74
- 2θ = 34.69°, d 2.586, I 56
- 2θ = 38.18°, d 2.357, I 94



No. 6
This entry pairs a crystal structure of KNaCdAu2 with its theoretical powder diffractogram. Radiation: copper Kα. Structure: a structure optimized by DFT (PBE).
Lines closer than 0.1° are merged.

Structure:
```
KNaCdAu2
1.0
4.6672 0.0000 0.0000
0.0000 4.6672 0.0000
0.0000 0.0000 12.5106
K Na Cd Au
2 2 2 4
direct
0.0000 0.0000 0.0000 K
0.5000 0.5000 0.5000 K
0.0000 0.5000 0.2500 Na
0.5000 0.0000 0.7500 Na
0.0000 0.5000 0.7500 Cd
0.5000 0.0000 0.2500 Cd
0.0000 0.0000 0.3901 Au
0.0000 0.0000 0.6099 Au
0.5000 0.5000 0.1099 Au
0.5000 0.5000 0.8901 Au
```

Main lines, in order of rising 2θ (10° ≤ 2θ ≤ 90°):
- 2θ = 20.31°, d 4.373, I 100
- 2θ = 28.71°, d 3.110, I 35
- 2θ = 30.63°, d 2.919, I 32
- 2θ = 38.58°, d 2.334, I 43
- 2θ = 39.70°, d 2.270, I 53
- 2θ = 40.92°, d 2.205, I 41



No. 7
This entry pairs a crystal structure of Sm3TmHg7 with its theoretical powder diffractogram. Radiation: copper Kα. Structure: a structure optimized by DFT (PBE).
Lines closer than 0.1° are merged.

Structure:
```
Sm3TmHg7
1.0
1.7672 -10.7707 0.0000
1.7672 10.7707 0.0000
0.0000 0.0000 15.5190
Sm Tm Hg
6 2 14
direct
0.1166 0.8834 0.5199 Sm
0.1166 0.8834 0.9801 Sm
0.2382 0.7618 0.2500 Sm
0.7618 0.2382 0.7500 Sm
0.8834 0.1166 0.0199 Sm
0.8834 0.1166 0.4801 Sm
0.0181 0.9819 0.2500 Tm
0.9819 0.0181 0.7500 Tm
0.2540 0.7460 0.5793 Hg
0.2540 0.7460 0.9207 Hg
0.3769 0.6231 0.6562 Hg
0.3769 0.6231 0.8438 Hg
0.3872 0.6128 0.2500 Hg
0.4950 0.5050 0.0922 Hg
0.4950 0.5050 0.4078 Hg
0.5050 0.4950 0.5922 Hg
0.5050 0.4950 0.9078 Hg
0.6128 0.3872 0.7500 Hg
0.6231 0.3769 0.1562 Hg
0.6231 0.3769 0.3438 Hg
0.7460 0.2540 0.0793 Hg
0.7460 0.2540 0.4207 Hg
```

Main lines, in order of rising 2θ (10° ≤ 2θ ≤ 90°):
- 2θ = 30.45°, d 2.935, I 58
- 2θ = 30.92°, d 2.892, I 88
- 2θ = 33.27°, d 2.693, I 100
- 2θ = 34.58°, d 2.594, I 48
- 2θ = 34.81°, d 2.577, I 84
- 2θ = 38.62°, d 2.332, I 78



No. 8
This entry pairs a crystal structure of PaTlAuI6 with its theoretical powder diffractogram. Radiation: copper Kα. Structure: a structure optimized by DFT (PBE).
Lines closer than 0.1° are merged.

Structure:
```
PaTlAuI6
1.0
7.7654 0.0000 0.0000
-3.8827 6.7251 0.0000
0.0000 0.0000 15.6250
Pa Tl Au I
2 2 2 12
direct
0.3333 0.6667 0.2500 Pa
0.6667 0.3333 0.7500 Pa
0.0000 0.0000 0.0000 Tl
0.0000 0.0000 0.5000 Tl
0.3333 0.6667 0.7500 Au
0.6667 0.3333 0.2500 Au
0.0014 0.3602 0.1366 I
0.0014 0.6412 0.3634 I
0.3588 0.3602 0.3634 I
0.3588 0.9986 0.1366 I
0.3602 0.0014 0.6366 I
0.3602 0.3588 0.8634 I
0.6398 0.6412 0.1366 I
0.6398 0.9986 0.3634 I
0.6412 0.0014 0.8634 I
0.6412 0.6398 0.6366 I
0.9986 0.3588 0.6366 I
0.9986 0.6398 0.8634 I
```

Main lines, in order of rising 2θ (10° ≤ 2θ ≤ 90°):
- 2θ = 17.40°, d 5.097, I 81
- 2θ = 25.62°, d 3.477, I 80
- 2θ = 32.51°, d 2.754, I 100
- 2θ = 37.20°, d 2.417, I 28
- 2θ = 40.23°, d 2.242, I 49
- 2θ = 41.76°, d 2.163, I 24



No. 9
This entry pairs a crystal structure of Er2AsSe with its theoretical powder diffractogram. Radiation: copper Kα. Structure: a structure optimized by DFT (PBE).
Lines closer than 0.1° are merged.

Structure:
```
Er2AsSe
1.0
4.0614 0.0000 0.0000
0.0000 5.7338 0.0000
0.0000 0.0000 8.1484
Er As Se
4 2 2
direct
0.2500 0.2500 0.1160 Er
0.2500 0.2500 0.6370 Er
0.7500 0.7500 0.3630 Er
0.7500 0.7500 0.8840 Er
0.2500 0.7500 0.1264 As
0.7500 0.2500 0.8736 As
0.2500 0.7500 0.6217 Se
0.7500 0.2500 0.3783 Se
```

Main lines, in order of rising 2θ (10° ≤ 2θ ≤ 90°):
- 2θ = 26.87°, d 3.318, I 36
- 2θ = 31.09°, d 2.876, I 100
- 2θ = 31.20°, d 2.867, I 50
- 2θ = 44.62°, d 2.031, I 93
- 2θ = 55.45°, d 1.657, I 20
- 2θ = 73.71°, d 1.285, I 24



No. 10
This entry pairs a crystal structure of LiMg6Co with its theoretical powder diffractogram. Radiation: copper Kα. Structure: a structure optimized by DFT (PBE).
Lines closer than 0.1° are merged.

Structure:
```
LiMg6Co
1.0
4.6032 0.0000 0.0000
0.0000 7.1227 0.0000
0.0000 0.0000 9.4623
Li Mg Co
2 12 2
direct
0.0000 0.0000 0.0000 Li
0.0000 0.5000 0.5000 Li
0.0000 0.0000 0.4802 Mg
0.0000 0.2120 0.7389 Mg
0.0000 0.2880 0.2389 Mg
0.0000 0.5000 0.9802 Mg
0.0000 0.7120 0.2389 Mg
0.0000 0.7880 0.7389 Mg
0.5000 0.0000 0.2357 Mg
0.5000 0.2289 0.9747 Mg
0.5000 0.2711 0.4747 Mg
0.5000 0.5000 0.7357 Mg
0.5000 0.7289 0.4747 Mg
0.5000 0.7711 0.9747 Mg
0.5000 0.0000 0.7104 Co
0.5000 0.5000 0.2104 Co
```

Main lines, in order of rising 2θ (10° ≤ 2θ ≤ 90°):
- 2θ = 15.57°, d 5.691, I 27
- 2θ = 37.15°, d 2.420, I 100
- 2θ = 38.04°, d 2.366, I 23
- 2θ = 39.14°, d 2.302, I 26
- 2θ = 55.72°, d 1.650, I 15
- 2θ = 69.62°, d 1.351, I 15



Please write out number 5 again, unchanged.
This entry pairs a crystal structure of BPIrC2 with its theoretical powder diffractogram. Radiation: copper Kα. Structure: a structure optimized by DFT (PBE).
Lines closer than 0.1° are merged.

Structure:
```
BPIrC2
1.0
8.6597 0.0000 0.0000
0.0000 2.8288 0.0000
-1.2768 0.0000 4.1743
B P Ir C
2 2 2 4
direct
0.0000 0.0000 0.0000 B
0.5000 0.5000 0.0000 B
0.1695 0.5000 0.7087 P
0.6695 0.0000 0.7087 P
0.4120 0.0000 0.3284 Ir
0.9120 0.5000 0.3284 Ir
0.1796 0.0000 0.9748 C
0.3703 0.5000 0.6536 C
0.6796 0.5000 0.9748 C
0.8703 0.0000 0.6536 C
```

Main lines, in order of rising 2θ (10° ≤ 2θ ≤ 90°):
- 2θ = 21.29°, d 4.174, I 83
- 2θ = 21.46°, d 4.140, I 95
- 2θ = 25.49°, d 3.495, I 100
- 2θ = 33.48°, d 2.677, I 74
- 2θ = 34.69°, d 2.586, I 56
- 2θ = 38.18°, d 2.357, I 94